GdMgCdP2: computed X-ray diffraction stick pattern (Cu Kα X-rays), based on the PBE geometry in OQMD.

Cell and atoms:
```
data_GdMgCdP2
_space_group_name_H-M_alt 'P 3 m 1'
_space_group_IT_number 156
_space_group_name_Hall 'P 3 -2"'
_cell_length_a 4.2402
_cell_length_b 4.2402
_cell_length_c 6.8559
_cell_angle_alpha 90.00
_cell_angle_beta 90.00
_cell_angle_gamma 120.00
loop_
_atom_site_label
_atom_site_type_symbol
_atom_site_fract_x
_atom_site_fract_y
_atom_site_fract_z
_atom_site_occupancy
Gd1 Gd 0.0000 0.0000 0.0000 1
Mg1 Mg 0.3333 0.6667 0.3581 1
Cd1 Cd 0.6667 0.3333 0.6353 1
P1 P 0.3333 0.6667 0.7522 1
P2 P 0.6667 0.3333 0.2353 1
```

Principal peaks in the range 10 to 90 degrees two-theta, by angle:
2θ = 12.91°, rel. 18, (0 0 1)
2θ = 24.24°, rel. 13, (1 0 0)
2θ = 27.56°, rel. 100, (0 1 1)
2θ = 35.84°, rel. 63, (1 0 2)
2θ = 39.43°, rel. 10, (0 0 3)
2θ = 42.65°, rel. 43, (1 1 0)
2θ = 46.82°, rel. 14, (0 1 3)
2θ = 51.53°, rel. 18, (2 0 1)
2θ = 56.89°, rel. 16, (0 2 2)
2θ = 59.49°, rel. 30, (1 1 3)
2θ = 69.04°, rel. 14, (1 2 1)
2θ = 73.63°, rel. 15, (2 1 2)